# 1
Computed PXRD pattern of Ba6Ho2Al2Rh2O15 for Cu Kα (λ = 1.5418 Å), from a structure optimized by DFT (GGA-PBE).
Peak positions follow from Bragg's law for the DFT cell and can differ from measured ones.

```
data_Ba6Ho2Al2Rh2O15
_symmetry_space_group_name_H-M 'A m m 2'
_symmetry_Int_Tables_number 38
_symmetry_space_group_name_Hall 'A 2 -2'
_cell_length_a 14.8955
_cell_length_b 5.9294
_cell_length_c 10.2996
_cell_angle_alpha 90.00
_cell_angle_beta 90.00
_cell_angle_gamma 90.00
loop_
_atom_site_label
_atom_site_type_symbol
_atom_site_fract_x
_atom_site_fract_y
_atom_site_fract_z
_atom_site_occupancy
Ba1 Ba 0.0000 0.0000 0.0000 1
Ba2 Ba 0.1462 0.0000 0.3231 1
Ba3 Ba 0.3103 0.0000 0.6569 1
Ba4 Ba 0.5000 0.0000 0.9771 1
Ho1 Ho 0.2519 0.0000 0.9907 1
Al1 Al 0.3846 0.0000 0.3233 1
Rh1 Rh 0.0843 0.0000 0.6630 1
O1 O 0.0000 0.2342 0.7501 1
O2 O 0.1600 0.2390 0.5747 1
O3 O 0.1700 0.0000 0.8176 1
O4 O 0.3403 0.2449 0.3969 1
O5 O 0.3564 0.0000 0.1551 1
O6 O 0.5000 0.0000 0.3558 1
```

The 10 most intense peaks (2θ from 15° to 90°), most intense first:
2θ/deg	d (Å)	I (rel.)	index
30.07	2.971	100	0 1 3
29.62	3.016	97	4 1 1
42.74	2.116	47	4 2 2
30.14	2.965	46	0 2 0
24.93	3.572	31	3 0 2
39.47	2.283	25	3 2 2
53.12	1.724	24	4 1 5
52.25	1.751	23	8 1 1
34.81	2.578	19	5 1 1
69.97	1.345	19	8 1 5

---

# 2
Computed PXRD pattern of Mg14AlZn for Cu Kα (λ = 1.5418 Å), from a structure optimized by DFT (GGA-PBE).
Peak positions follow from Bragg's law for the DFT cell and can differ from measured ones.

```
data_Mg14AlZn
_symmetry_space_group_name_H-M 'P -6 m 2'
_symmetry_Int_Tables_number 187
_symmetry_space_group_name_Hall 'P -6 2'
_cell_length_a 6.3167
_cell_length_b 6.3167
_cell_length_c 10.0738
_cell_angle_alpha 90.00
_cell_angle_beta 90.00
_cell_angle_gamma 120.00
loop_
_atom_site_label
_atom_site_type_symbol
_atom_site_fract_x
_atom_site_fract_y
_atom_site_fract_z
_atom_site_occupancy
Mg1 Mg 0.0000 0.0000 0.2489 1
Mg2 Mg 0.0061 0.5031 0.2508 1
Mg3 Mg 0.3322 0.1661 0.5000 1
Mg4 Mg 0.3328 0.1664 0.0000 1
Al1 Al 0.3333 0.6667 0.0000 1
Zn1 Zn 0.3333 0.6667 0.5000 1
```

The 10 most intense peaks (2θ from 15° to 90°), most intense first:
2θ/deg	d (Å)	I (rel.)	index
37.41	2.404	100	2 0 2
35.65	2.518	25	0 0 4
32.74	2.735	25	2 0 0
70.37	1.338	19	2 2 4
65.20	1.431	18	2 0 6
58.44	1.579	17	2 2 0
49.18	1.853	15	2 0 4
71.48	1.320	14	4 0 2
18.46	4.807	7	1 0 1
16.20	5.470	6	1 0 0